[1]
This entry pairs a crystal structure of Y2HfCd2 with its calculated X-ray diffraction stick pattern. Radiation: Cu Kα (λ = 1.5418 Å). Structure: a structure optimized by DFT (GGA-PBE).
No peak broadening, texture or thermal motion is included.

The 10 most intense peaks (2θ from 10° to 90°), in order of rising 2θ:
- hkl 0 0 1, 2θ 23.60, I = 18
- hkl 2 2 0, 2θ 30.35, I = 22
- hkl 2 0 1, 2θ 32.02, I = 51
- hkl 2 1 1, 2θ 33.83, I = 100
- hkl 3 1 0, 2θ 34.03, I = 79
- hkl 3 2 0, 2θ 38.98, I = 13
- hkl 3 1 1, 2θ 41.83, I = 29
- hkl 0 0 2, 2θ 48.29, I = 18
- hkl 3 1 2, 2θ 60.39, I = 30
- hkl 5 1 1, 2θ 61.90, I = 23

Cell and atoms:
a b c (Å): 8.3311 8.3311 3.7694
angles (deg): 90.00 90.00 90.00
Space group P4/mbm (No. 127)
Symmetry-distinct sites (fractional):
Y 0.1748 0.3252 0.0000
Hf 0.0000 0.0000 0.5000
Cd 0.1263 0.6263 0.5000

[2]
This entry pairs a crystal structure of HfZr3Cd3 with its calculated X-ray diffraction stick pattern. Radiation: Cu Kα (λ = 1.5418 Å). Structure: a structure optimized by DFT (GGA-PBE).
No peak broadening, texture or thermal motion is included.

The 10 most intense peaks (2θ from 10° to 90°), in order of rising 2θ:
- hkl 1 2 -1, 2θ 34.64, I = 100
- hkl 1 0 -4, 2θ 35.42, I = 98
- hkl 0 2 3, 2θ 39.05, I = 38
- hkl 2 1 1, 2θ 41.12, I = 33
- hkl 0 1 -6, 2θ 41.83, I = 27
- hkl 2 3 4, 2θ 57.99, I = 23
- hkl 2 2 -5, 2θ 60.10, I = 18
- hkl 1 4 2, 2θ 67.43, I = 13
- hkl 1 3 8, 2θ 68.88, I = 13
- hkl 3 1 -3, 2θ 71.24, I = 18

Cell and atoms:
a b c (Å): 4.3908 5.6072 14.6608
angles (deg): 84.93 81.43 66.97
Space group P-1 (No. 2)
Symmetry-distinct sites (fractional):
Hf 0.1350 0.1976 0.0323
Zr 0.0547 0.6267 0.7613
Zr 0.3327 0.0054 0.8274
Zr 0.4039 0.5917 0.1020
Cd 0.2044 0.7837 0.3094
Cd 0.2560 0.4243 0.5630
Cd 0.4794 0.1606 0.3828

[3]
This entry pairs a crystal structure of HfZr5Cd2 with its calculated X-ray diffraction stick pattern. Radiation: Cu Kα (λ = 1.5418 Å). Structure: a structure optimized by DFT (GGA-PBE).
No peak broadening, texture or thermal motion is included.

The 10 most intense peaks (2θ from 10° to 90°), in order of rising 2θ:
- hkl 0 0 4, 2θ 19.79, I = 2
- hkl 1 0 1, 2θ 20.38, I = 3
- hkl 1 0 3, 2θ 24.78, I = 2
- hkl 1 1 4, 2θ 34.60, I = 100
- hkl 2 0 0, 2θ 40.16, I = 49
- hkl 2 2 0, 2θ 58.10, I = 32
- hkl 3 1 4, 2θ 69.41, I = 38
- hkl 2 2 8, 2θ 72.98, I = 11
- hkl 4 0 0, 2θ 86.68, I = 3
- hkl 0 0 16, 2θ 86.85, I = 2

Cell and atoms:
a b c (Å): 4.4929 4.4929 17.9450
angles (deg): 90.00 90.00 90.00
Space group I4/mmm (No. 139)
Symmetry-distinct sites (fractional):
Hf 0.0000 0.0000 0.0000
Zr 0.0000 0.0000 0.5000
Zr 0.0000 0.5000 0.1238
Cd 0.0000 0.0000 0.2501

[4]
This entry pairs a crystal structure of Hf6Zr12Cd with its calculated X-ray diffraction stick pattern. Radiation: Cu Kα (λ = 1.5418 Å). Structure: a structure optimized by DFT (GGA-PBE).
No peak broadening, texture or thermal motion is included.

The 10 most intense peaks (2θ from 10° to 90°), in order of rising 2θ:
- hkl 1 0 0, 2θ 11.79, I = 37
- hkl 2 0 -2, 2θ 30.12, I = 16
- hkl 2 1 -2, 2θ 32.44, I = 18
- hkl 1 1 2, 2θ 33.75, I = 36
- hkl 3 0 -1, 2θ 35.47, I = 27
- hkl 1 1 -3, 2θ 35.88, I = 100
- hkl 0 2 2, 2θ 37.09, I = 28
- hkl -2 2 2, 2θ 38.64, I = 15
- hkl 2 -3 0, 2θ 39.05, I = 58
- hkl 2 -5 2, 2θ 63.92, I = 18

Cell and atoms:
a b c (Å): 7.7701 7.7712 7.7730
angles (deg): 99.45 99.55 99.73
Space group P-1 (No. 2)
Symmetry-distinct sites (fractional):
Hf 0.0989 0.0989 0.1627
Hf 0.0988 0.6627 0.5989
Hf 0.3373 0.9013 0.4012
Zr 0.0683 0.3348 0.8341
Zr 0.2452 0.5001 0.2539
Zr 0.2445 0.7551 0.0000
Zr 0.3351 0.0676 0.8339
Zr 0.3349 0.3344 0.5665
Zr 0.5001 0.2459 0.2535
Cd 0.0000 0.0000 0.5000

> Number 1 is which compound?

Y2HfCd2